For CsAsH6C2Se2, a crystal structure in Alexandria, relaxed with GGA-PBE gives the computed powder X-ray diffraction pattern in this record (Cu Kα X-rays).

Crystal structure
```
CsAsH6C2Se2
1.0
5.0545 -5.1585 0.0000
5.0545 5.1585 0.0000
-4.0173 0.0000 9.0476
Cs As H C Se
2 2 12 4 4
Direct
0.1151 0.8849 0.7500
0.8849 0.1151 0.2500
0.3180 0.6820 0.2500
0.6820 0.3180 0.7500
0.1900 0.4297 0.9980
0.2863 0.3176 0.1416
0.3176 0.2863 0.6416
0.4297 0.1900 0.4980
0.4317 0.4484 0.5730
0.4484 0.4317 0.0730
0.5516 0.5683 0.9270
0.5683 0.5516 0.4270
0.5703 0.8099 0.5020
0.6824 0.7137 0.3584
0.7137 0.6824 0.8584
0.8099 0.5703 0.0020
0.3094 0.4367 0.0975
0.4367 0.3094 0.5975
0.5633 0.6906 0.4025
0.6906 0.5633 0.9025
0.0615 0.6583 0.3420
0.3417 0.9385 0.1580
0.6583 0.0615 0.8420
0.9385 0.3417 0.6580
```

Peak list (8 most intense, 2θ from 10° to 90°, in order of rising 2θ)
| 2θ (°) | I (rel.) |
| --- | --- |
| 18.41 | 46 |
| 19.21 | 39 |
| 19.62 | 82 |
| 19.81 | 35 |
| 24.74 | 100 |
| 30.74 | 42 |
| 32.85 | 33 |
| 33.05 | 50 |